Simulated powder XRD pattern
Compound: Na10Zn4O9
Radiation: a wavelength of 1.5418 Å
Structure: a DFT-relaxed cell (GGA-PBE, the Materials Project)

Atomic structure:
Lattice parameters (Å, degrees): 8.7561 8.7561 8.7427 102.49 102.49 76.92
Sites, in units of the cell vectors:
Na1 0.0000 0.0000 0.0000
Na2 0.0278 0.2151 0.2917
Na3 0.0819 0.6696 0.9384
Na4 0.0901 0.3596 0.6254
Na5 0.1847 0.0688 0.7745
Na6 0.1920 0.5288 0.2276
Na7 0.3304 0.9181 0.0616
Na8 0.3435 0.2486 0.3682
Na9 0.3525 0.5206 0.7891
Na10 0.4505 0.1018 0.6390
Na11 0.4625 0.5375 0.5000
Na12 0.4712 0.8080 0.7724
Na13 0.4794 0.6475 0.2109
Na14 0.6404 0.9099 0.3746
Na15 0.6998 0.3002 0.0000
Na16 0.7514 0.6565 0.6318
Na17 0.7849 0.9722 0.7083
Na18 0.8982 0.5495 0.3610
Na19 0.9274 0.0726 0.5000
Na20 0.9312 0.8153 0.2255
Zn1 0.0282 0.3323 0.9686
Zn2 0.1101 0.7232 0.5955
Zn3 0.2768 0.8899 0.4045
Zn4 0.3636 0.2642 0.0304
Zn5 0.6677 0.9718 0.0314
Zn6 0.6729 0.2642 0.3314
Zn7 0.7358 0.3271 0.6686
Zn8 0.7358 0.6364 0.9696
O1 0.1902 0.1005 0.5081
O2 0.1913 0.1828 0.1062
O3 0.1971 0.7866 0.1948
O4 0.1990 0.4021 0.8909
O5 0.2010 0.5063 0.4962
O6 0.2134 0.8029 0.8052
O7 0.4784 0.3901 0.2223
O8 0.4906 0.0910 0.8977
O9 0.4937 0.7990 0.5038
O10 0.5979 0.8010 0.1091
O11 0.6099 0.5216 0.7777
O12 0.6118 0.1734 0.5053
O13 0.8095 0.1000 0.1928
O14 0.8172 0.8087 0.8938
O15 0.8266 0.3882 0.4947
O16 0.9000 0.1905 0.8072
O17 0.8995 0.8098 0.4919
O18 0.9090 0.5094 0.1023

Principal peaks in the range 5° ≤ 2θ ≤ 70°, in order of falling intensity:
2theta	d/Å	intensity
21.7	4.098	100
35.5	2.526	89
35.3	2.545	86
14.6	6.062	67
50.0	1.826	58
21.2	4.199	52
35.9	2.505	42
35.0	2.562	41
35.7	2.517	40
40.8	2.210	39
19.4	4.570	34
34.6	2.593	33

***

Simulated powder XRD pattern
Compound: Na2Zr2O5
Radiation: a wavelength of 1.5418 Å
Structure: a DFT-relaxed cell (GGA-PBE, the Materials Project)

Atomic structure:
Lattice parameters (Å, degrees): 4.0396 4.0396 8.1396 90.00 90.00 90.00
Sites, in units of the cell vectors:
Na1 0.0000 0.0000 0.0000
Na2 0.0000 0.0000 0.5000
Zr1 0.5000 0.5000 0.2502
Zr2 0.5000 0.5000 0.7498
O1 0.0000 0.5000 0.1956
O2 0.0000 0.5000 0.8044
O3 0.5000 0.0000 0.1956
O4 0.5000 0.0000 0.8044
O5 0.5000 0.5000 0.5000

Principal peaks in the range 5° ≤ 2θ ≤ 70°, in order of falling intensity:
2theta	d/Å	intensity
31.2	2.867	100
22.0	4.040	62
21.8	4.070	40
55.7	1.651	37
44.9	2.020	36
31.3	2.856	35
50.5	1.808	27
55.4	1.657	22
65.1	1.434	16
44.5	2.035	13
50.2	1.817	12
65.3	1.428	10

***

Simulated powder XRD pattern
Compound: Na3Os
Radiation: a wavelength of 1.5418 Å
Structure: a DFT-relaxed cell (GGA-PBE, the Materials Project)

Atomic structure:
Lattice parameters (Å, degrees): 9.3418 9.3418 4.9497 90.00 90.00 90.00
Sites, in units of the cell vectors:
Na1 0.0334 0.2975 0.0000
Na2 0.1234 0.8766 0.5000
Na3 0.2025 0.5334 0.5000
Na4 0.2975 0.0334 0.0000
Na5 0.3766 0.3766 0.0000
Na6 0.4666 0.7975 0.5000
Na7 0.5334 0.2025 0.5000
Na8 0.6234 0.6234 0.0000
Na9 0.7025 0.9666 0.0000
Na10 0.7975 0.4666 0.5000
Na11 0.8766 0.1234 0.5000
Na12 0.9666 0.7025 0.0000
Os1 0.2059 0.2059 0.5000
Os2 0.2941 0.7059 0.0000
Os3 0.7059 0.2941 0.0000
Os4 0.7941 0.7941 0.5000

Principal peaks in the range 5° ≤ 2θ ≤ 70°, in order of falling intensity:
2theta	d/Å	intensity
22.4	3.961	100
19.0	4.671	80
34.0	2.636	59
35.4	2.537	58
21.3	4.178	35
39.2	2.295	28
41.3	2.187	22
36.3	2.475	22
39.8	2.266	20
52.3	1.748	19
54.9	1.671	16
20.3	4.374	15

***

Simulated powder XRD pattern
Compound: Na3Os
Radiation: a wavelength of 1.5418 Å
Structure: a DFT-relaxed cell (GGA-PBE, the Materials Project)

Atomic structure:
Lattice parameters (Å, degrees): 6.4405 6.4405 5.2833 90.00 90.00 120.00
Sites, in units of the cell vectors:
Na1 0.1781 0.3562 0.2500
Na2 0.1781 0.8219 0.2500
Na3 0.3562 0.1781 0.7500
Na4 0.6438 0.8219 0.2500
Na5 0.8219 0.1781 0.7500
Na6 0.8219 0.6438 0.7500
Os1 0.3333 0.6667 0.7500
Os2 0.6667 0.3333 0.2500

Principal peaks in the range 5° ≤ 2θ ≤ 70°, in order of falling intensity:
2theta	d/Å	intensity
23.2	3.836	100
36.4	2.466	86
15.9	5.578	49
27.7	3.220	46
46.4	1.958	38
44.4	2.042	27
33.9	2.642	23
32.1	2.789	20
62.4	1.489	17
68.2	1.375	17
57.2	1.610	15
62.6	1.485	15

***

Simulated powder XRD pattern
Compound: Na3Os
Radiation: a wavelength of 1.5418 Å
Structure: a DFT-relaxed cell (GGA-PBE, the Materials Project)

Atomic structure:
Lattice parameters (Å, degrees): 5.0879 5.0879 5.0879 60.00 60.00 60.00
Sites, in units of the cell vectors:
Na1 0.0000 0.0000 0.0000
Na2 0.2500 0.2500 0.2500
Na3 0.7500 0.7500 0.7500
Os1 0.5000 0.5000 0.5000

Principal peaks in the range 5° ≤ 2θ ≤ 70°, in order of falling intensity:
2theta	d/Å	intensity
35.3	2.544	100
21.4	4.154	90
41.6	2.169	49
24.7	3.598	48
63.3	1.469	36
55.7	1.651	22
57.3	1.609	20
50.8	1.799	18
67.7	1.385	16
43.6	2.077	15

***

- What is the formula in the third record?
  Na3Os